Theoretical PXRD pattern of Pm3Ni2 for a wavelength of 1.5418 Å, from a GGA-PBE-relaxed structure.
No peak broadening, texture or thermal motion is included.

Top 8 peaks for 10 to 90 degrees two-theta, most intense first:
2θ (°)  I/Imax
31.48  100
27.49  57
34.35  56
40.65  32
54.25  30
36.28  30
44.55  23
37.83  21

Structural model:
```
Pm3Ni2
1.0
2.2193 -7.1346 0.0000
2.2193 7.1346 0.0000
0.0000 0.0000 3.8302
Pm Ni
3 2
Direct
0.0000 0.0000 0.0000
0.3496 0.6504 0.5000
0.6504 0.3496 0.5000
0.2015 0.7985 0.0000
0.7985 0.2015 0.0000
```

=====

Theoretical PXRD pattern of ZrZn3Rh for a wavelength of 1.5418 Å, from a GGA-PBE-relaxed structure.
No peak broadening, texture or thermal motion is included.

Top 8 peaks for 10 to 90 degrees two-theta, most intense first:
2θ (°)  I/Imax
44.40  100
18.90  86
36.85  51
23.90  50
40.98  49
40.82  38
57.54  28
31.73  26

Structural model:
```
ZrZn3Rh
1.0
-2.4393 2.4393 8.6391
2.4393 -2.4393 8.6391
2.4393 2.4393 -8.6391
Zr Zn Rh
2 6 2
Direct
0.1902 0.1902 0.0000
0.8098 0.8098 0.0000
0.3758 0.6228 0.7531
0.3772 0.1303 0.7531
0.3772 0.6242 0.2469
0.5513 0.0513 0.5000
0.8697 0.6228 0.2469
0.9487 0.4487 0.5000
0.2500 0.7500 0.5000
0.5000 0.5000 0.0000
```

=====

Theoretical PXRD pattern of TbY4In for a wavelength of 1.5418 Å, from a GGA-PBE-relaxed structure.
No peak broadening, texture or thermal motion is included.

Top 8 peaks for 10 to 90 degrees two-theta, most intense first:
2θ (°)  I/Imax
32.22  100
32.07  85
32.55  51
31.96  46
46.26  32
63.66  27
57.22  25
57.80  24

Structural model:
```
TbY4In
1.0
5.5022 0.0000 0.0000
0.0000 6.8752 0.0000
-0.0076 0.0000 9.6577
Tb Y In
2 8 2
Direct
0.2496 0.2500 0.0727
0.7504 0.7500 0.9273
0.2493 0.5052 0.7473
0.2493 0.9948 0.7473
0.2507 0.2500 0.4192
0.2510 0.7500 0.1077
0.7490 0.2500 0.8923
0.7493 0.7500 0.5808
0.7507 0.0052 0.2527
0.7507 0.4948 0.2527
0.2493 0.7500 0.4284
0.7507 0.2500 0.5716
```

=====

Theoretical PXRD pattern of Zn3PbI9 for a wavelength of 1.5418 Å, from a GGA-PBE-relaxed structure.
No peak broadening, texture or thermal motion is included.

Top 8 peaks for 10 to 90 degrees two-theta, most intense first:
2θ (°)  I/Imax
24.77  100
24.88  88
25.65  80
15.15  77
16.55  63
23.04  57
25.46  55
28.23  50

Structural model:
```
Zn3PbI9
1.0
9.6808 -5.3203 0.0000
9.6808 5.3203 0.0000
-9.5809 0.0000 11.2236
Zn Pb I
6 2 18
Direct
0.0741 0.9259 0.5000
0.2494 0.4575 0.5338
0.4575 0.2494 0.0338
0.6803 0.8795 0.1609
0.8795 0.6803 0.6609
0.9259 0.0741 0.0000
0.4416 0.8228 0.3313
0.8228 0.4416 0.8313
0.0302 0.4190 0.5303
0.0409 0.0575 0.7082
0.0575 0.0409 0.2082
0.0784 0.7976 0.8757
0.1153 0.6263 0.4057
0.1876 0.3539 0.8678
0.3075 0.9715 0.5363
0.3539 0.1876 0.3678
0.4190 0.0302 0.0303
0.4604 0.5076 0.7495
0.5076 0.4604 0.2495
0.6054 0.6869 0.1551
0.6263 0.1153 0.9057
0.6869 0.6054 0.6551
0.7354 0.8929 0.5670
0.7976 0.0784 0.3757
0.8929 0.7354 0.0670
0.9715 0.3075 0.0363
```

=====

Theoretical PXRD pattern of RbRhS2N for a wavelength of 1.5418 Å, from a GGA-PBE-relaxed structure.
No peak broadening, texture or thermal motion is included.

Top 8 peaks for 10 to 90 degrees two-theta, most intense first:
2θ (°)  I/Imax
29.64  100
34.46  85
46.08  59
24.18  50
61.54  26
49.54  26
69.97  17
72.48  16

Structural model:
```
RbRhS2N
1.0
5.2044 0.0000 0.0000
0.0000 5.2044 0.0000
0.0000 0.0000 3.6968
Rb Rh S N
1 1 2 1
Direct
0.0000 0.0000 0.0000
0.5000 0.5000 0.5000
0.0000 0.5000 0.5000
0.5000 0.0000 0.5000
0.5000 0.5000 0.0000
```

=====

Theoretical PXRD pattern of RbErOsO6 for a wavelength of 1.5418 Å, from a GGA-PBE-relaxed structure.
No peak broadening, texture or thermal motion is included.

Top 8 peaks for 10 to 90 degrees two-theta, most intense first:
2θ (°)  I/Imax
23.33  100
14.39  66
43.67  55
31.93  48
35.18  31
52.00  22
39.92  20
29.01  18

Structural model:
```
RbErOsO6
1.0
5.6061 0.0000 0.0000
-2.8031 4.8550 0.0000
0.0000 0.0000 6.1564
Rb Er Os O
1 1 1 6
Direct
0.0000 0.0000 0.0000
0.3333 0.6667 0.5000
0.6667 0.3333 0.5000
0.4114 0.0460 0.6772
0.4114 0.3655 0.3228
0.6345 0.0460 0.3228
0.6345 0.5886 0.6772
0.9540 0.3655 0.6772
0.9540 0.5886 0.3228
```

=====

Theoretical PXRD pattern of Ag2IrF7 for a wavelength of 1.5418 Å, from a GGA-PBE-relaxed structure.
No peak broadening, texture or thermal motion is included.

Top 8 peaks for 10 to 90 degrees two-theta, most intense first:
2θ (°)  I/Imax
25.43  100
25.76  98
30.87  82
24.88  73
30.08  39
42.08  38
48.33  34
47.76  31

Structural model:
```
Ag2IrF7
1.0
6.6644 -3.1814 0.0000
6.6644 3.1814 0.0000
-6.0633 0.0000 7.0064
Ag Ir F
4 2 14
Direct
0.1094 0.2840 0.2823
0.2840 0.1094 0.7823
0.7160 0.8906 0.2177
0.8906 0.7160 0.7177
0.3675 0.6325 0.2500
0.6325 0.3675 0.7500
0.0595 0.9405 0.2500
0.1411 0.5547 0.2320
0.2467 0.5529 0.9707
0.2607 0.5043 0.6449
0.4453 0.8589 0.2680
0.4471 0.7533 0.5293
0.4957 0.7393 0.8551
0.5043 0.2607 0.1449
0.5529 0.2467 0.4707
0.5547 0.1411 0.7320
0.7393 0.4957 0.3551
0.7533 0.4471 0.0293
0.8589 0.4453 0.7680
0.9405 0.0595 0.7500
```

=====

Theoretical PXRD pattern of Sm8SnTe4Se3 for a wavelength of 1.5418 Å, from a GGA-PBE-relaxed structure.
No peak broadening, texture or thermal motion is included.

Top 8 peaks for 10 to 90 degrees two-theta, most intense first:
2θ (°)  I/Imax
28.99  100
41.81  38
41.11  36
51.68  20
68.56  17
67.56  14
75.86  12
60.07  12

Structural model:
```
Sm8SnTe4Se3
1.0
4.3214 2.4949 7.2310
-4.3214 2.4949 7.2310
0.0000 -4.9899 7.2310
Sm Sn Te Se
8 1 4 3
Direct
0.2349 0.7456 0.7456
0.2391 0.2391 0.2391
0.2544 0.2544 0.7651
0.2544 0.7651 0.2544
0.7456 0.2349 0.7456
0.7456 0.7456 0.2349
0.7609 0.7609 0.7609
0.7651 0.2544 0.2544
0.5000 0.5000 0.5000
0.0000 0.0000 0.0000
0.0000 0.5000 0.5000
0.5000 0.0000 0.5000
0.5000 0.5000 0.0000
0.0000 0.0000 0.5000
0.0000 0.5000 0.0000
0.5000 0.0000 0.0000
```

=====

Please write out number 7 again, unchanged.
Theoretical PXRD pattern of Ag2IrF7 for a wavelength of 1.5418 Å, from a GGA-PBE-relaxed structure.
No peak broadening, texture or thermal motion is included.

Top 8 peaks for 10 to 90 degrees two-theta, most intense first:
2θ (°)  I/Imax
25.43  100
25.76  98
30.87  82
24.88  73
30.08  39
42.08  38
48.33  34
47.76  31

Structural model:
```
Ag2IrF7
1.0
6.6644 -3.1814 0.0000
6.6644 3.1814 0.0000
-6.0633 0.0000 7.0064
Ag Ir F
4 2 14
Direct
0.1094 0.2840 0.2823
0.2840 0.1094 0.7823
0.7160 0.8906 0.2177
0.8906 0.7160 0.7177
0.3675 0.6325 0.2500
0.6325 0.3675 0.7500
0.0595 0.9405 0.2500
0.1411 0.5547 0.2320
0.2467 0.5529 0.9707
0.2607 0.5043 0.6449
0.4453 0.8589 0.2680
0.4471 0.7533 0.5293
0.4957 0.7393 0.8551
0.5043 0.2607 0.1449
0.5529 0.2467 0.4707
0.5547 0.1411 0.7320
0.7393 0.4957 0.3551
0.7533 0.4471 0.0293
0.8589 0.4453 0.7680
0.9405 0.0595 0.7500
```